(1)
Structure and calculated X-ray powder pattern of ZnSi2Ni3 (a PBE-relaxed structure; Cu Kα X-rays).
Lines closer than 0.1° are merged.

Largest 6 diffraction maxima, in order of rising 2θ, 2θ = 10–80°:
2theta, Rel. int., h k l
44.1, 47, 0 2 3
44.3, 42, 2 1 0
44.5, 43, 1 0 6
44.9, 100, 2 -1 0
48.5, 24, 2 1 3
49.6, 34, 1 -2 3

Atomic structure:
```
data_ZnSi2Ni3
_chemical_formula_sum 'Zn4 Si8 Ni12'
_space_group_name_H-M_alt 'P 1'
_space_group_IT_number 1
_space_group_name_Hall 'P 1'
_cell_length_a 4.5391
_cell_length_b 4.5572
_cell_length_c 13.5994
_cell_angle_alpha 88.71
_cell_angle_beta 89.44
_cell_angle_gamma 89.14
loop_
_atom_site_label
_atom_site_type_symbol
_atom_site_fract_x
_atom_site_fract_y
_atom_site_fract_z
Zn1 Zn 0.0000 0.0000 0.0000
Zn2 Zn 0.0006 0.0031 0.6673
Zn3 Zn 0.0026 0.9819 0.3362
Zn4 Zn 0.4991 0.8178 0.4331
Si1 Si 0.3019 0.4955 0.9377
Si2 Si 0.3064 0.5021 0.6025
Si3 Si 0.3090 0.4977 0.2738
Si4 Si 0.4970 0.8169 0.7672
Si5 Si 0.4981 0.8128 0.0995
Si6 Si 0.8058 0.2968 0.4971
Si7 Si 0.8152 0.2989 0.8332
Si8 Si 0.8201 0.2992 0.1657
Ni1 Ni 0.0061 0.7787 0.8362
Ni2 Ni 0.0091 0.7785 0.1690
Ni3 Ni 0.2930 0.3117 0.4366
Ni4 Ni 0.3072 0.3121 0.7690
Ni5 Ni 0.3081 0.3113 0.1008
Ni6 Ni 0.5052 0.0046 0.9266
Ni7 Ni 0.5052 0.0186 0.6012
Ni8 Ni 0.5075 0.0085 0.2541
Ni9 Ni 0.7804 0.5089 0.6717
Ni10 Ni 0.7835 0.5064 0.0030
Ni11 Ni 0.7936 0.4874 0.3311
Ni12 Ni 0.9981 0.7762 0.5082
```

***

(2)
Structure and calculated X-ray powder pattern of MgTi3 (a PBE-relaxed structure; Cu Kα X-rays).
Lines closer than 0.1° are merged.

Largest 6 diffraction maxima, in order of rising 2θ, 2θ = 10–80°:
2theta, Rel. int., h k l
35.1, 25, 2 0 0
37.8, 26, 0 0 2
40.0, 100, 2 0 1
62.9, 15, 2 2 0
69.7, 17, 2 0 3
75.7, 17, 2 2 2

Atomic structure:
```
data_MgTi3
_chemical_formula_sum 'Mg2 Ti6'
_space_group_name_H-M_alt 'P 63/m m c'
_space_group_IT_number 194
_space_group_name_Hall '-P 6c 2c'
_cell_length_a 5.9120
_cell_length_b 5.9120
_cell_length_c 4.7648
_cell_angle_alpha 90.00
_cell_angle_beta 90.00
_cell_angle_gamma 120.00
loop_
_atom_site_label
_atom_site_type_symbol
_atom_site_fract_x
_atom_site_fract_y
_atom_site_fract_z
Mg1 Mg 0.3333 0.6667 0.2500
Ti1 Ti 0.1652 0.3305 0.7500
```

***

(3)
Structure and calculated X-ray powder pattern of Ba2In2O5 (a PBE-relaxed structure; Cu Kα X-rays).
Lines closer than 0.1° are merged.

Largest 6 diffraction maxima, in order of rising 2θ, 2θ = 10–80°:
2theta, Rel. int., h k l
28.6, 22, 0 2 0
29.5, 100, 0 0 2
41.6, 20, 0 2 2
51.2, 12, 4 3 1
52.3, 21, 4 1 3
61.2, 12, 0 0 4

Atomic structure:
```
data_Ba2In2O5
_chemical_formula_sum 'Ba8 In8 O20'
_space_group_name_H-M_alt 'I m a 2'
_space_group_IT_number 46
_space_group_name_Hall 'I 2 -2a'
_cell_length_a 16.8984
_cell_length_b 6.2373
_cell_length_c 6.0565
_cell_angle_alpha 90.00
_cell_angle_beta 90.00
_cell_angle_gamma 90.00
loop_
_atom_site_label
_atom_site_type_symbol
_atom_site_fract_x
_atom_site_fract_y
_atom_site_fract_z
Ba1 Ba 0.1090 0.0179 0.0000
In1 In 0.0000 0.0000 0.5051
In2 In 0.2500 0.5666 0.9729
O1 O 0.0082 0.7452 0.7508
O2 O 0.1378 0.0550 0.5286
O3 O 0.2500 0.6296 0.6284
```

***

(4)
Structure and calculated X-ray powder pattern of CaUPb2O6 (a PBE-relaxed structure; Cu Kα X-rays).
Lines closer than 0.1° are merged.

Largest 6 diffraction maxima, in order of rising 2θ, 2θ = 10–80°:
2theta, Rel. int., h k l
17.5, 27, 0 1 1
28.6, 24, 0 2 0
29.2, 100, 1 1 1
30.0, 26, 2 0 -2
41.9, 22, 2 2 -2
52.8, 23, 3 1 -1

Atomic structure:
```
data_CaUPb2O6
_chemical_formula_sum 'Ca2 U2 Pb4 O12'
_space_group_name_H-M_alt 'P 1 21/c 1'
_space_group_IT_number 14
_space_group_name_Hall '-P 2ybc'
_cell_length_a 5.9572
_cell_length_b 6.2399
_cell_length_c 10.5357
_cell_angle_alpha 90.00
_cell_angle_beta 124.37
_cell_angle_gamma 90.00
loop_
_atom_site_label
_atom_site_type_symbol
_atom_site_fract_x
_atom_site_fract_y
_atom_site_fract_z
Ca1 Ca 0.0000 0.0000 0.0000
U1 U 0.5000 0.0000 0.5000
Pb1 Pb 0.2401 0.0456 0.7295
O1 O 0.1680 0.1707 0.4748
O2 O 0.2716 0.7287 0.4460
O3 O 0.3553 0.0470 0.2624
```

***

(5)
Structure and calculated X-ray powder pattern of Pr3TaCl3O6 (a PBE-relaxed structure; Cu Kα X-rays).
Lines closer than 0.1° are merged.

Largest 6 diffraction maxima, in order of rising 2θ, 2θ = 10–80°:
2theta, Rel. int., h k l
10.7, 54, 1 0 0
25.0, 55, 1 1 1
27.2, 59, 2 0 1
33.2, 100, 2 1 1
44.5, 38, 2 1 2
51.0, 36, 2 3 1

Atomic structure:
```
data_Pr3TaCl3O6
_chemical_formula_sum 'Pr6 Ta2 Cl6 O12'
_space_group_name_H-M_alt 'P 63/m'
_space_group_IT_number 176
_space_group_name_Hall '-P 6c'
_cell_length_a 9.5574
_cell_length_b 9.5574
_cell_length_c 5.3557
_cell_angle_alpha 90.00
_cell_angle_beta 90.00
_cell_angle_gamma 120.00
loop_
_atom_site_label
_atom_site_type_symbol
_atom_site_fract_x
_atom_site_fract_y
_atom_site_fract_z
Pr1 Pr 0.0902 0.4032 0.2500
Ta1 Ta 0.3333 0.6667 0.7500
Cl1 Cl 0.0501 0.2401 0.7500
O1 O 0.1580 0.6359 0.5136
```

***

(6)
Structure and calculated X-ray powder pattern of Mg6BiMo (a PBE-relaxed structure; Cu Kα X-rays).
Lines closer than 0.1° are merged.

Largest 6 diffraction maxima, in order of rising 2θ, 2θ = 10–80°:
2theta, Rel. int., h k l
16.2, 72, 0 0 2
17.3, 62, 1 0 0
23.8, 60, 1 0 2
33.2, 42, 0 2 2
37.3, 52, 1 0 4
37.7, 100, 1 2 2

Atomic structure:
```
data_Mg6BiMo
_chemical_formula_sum 'Mg12 Bi2 Mo2'
_space_group_name_H-M_alt 'A m m 2'
_space_group_IT_number 38
_space_group_name_Hall 'A 2 -2'
_cell_length_a 5.1295
_cell_length_b 6.1976
_cell_length_c 10.9301
_cell_angle_alpha 90.00
_cell_angle_beta 90.00
_cell_angle_gamma 90.00
loop_
_atom_site_label
_atom_site_type_symbol
_atom_site_fract_x
_atom_site_fract_y
_atom_site_fract_z
Mg1 Mg 0.0000 0.0000 0.0000
Mg2 Mg 0.0000 0.0000 0.4883
Mg3 Mg 0.0000 0.2339 0.2451
Mg4 Mg 0.5000 0.2481 0.5783
Bi1 Bi 0.5000 0.0000 0.8301
Mo1 Mo 0.5000 0.0000 0.3276
```

***

(7)
Structure and calculated X-ray powder pattern of TeAs (a PBE-relaxed structure; Cu Kα X-rays).
Lines closer than 0.1° are merged.

Largest 6 diffraction maxima, in order of rising 2θ, 2θ = 10–80°:
2theta, Rel. int., h k l
30.1, 100, 2 0 0
43.1, 74, 2 2 0
53.5, 26, 2 2 2
62.6, 12, 4 0 0
71.0, 33, 4 2 0
79.0, 25, 4 2 2

Atomic structure:
```
data_TeAs
_chemical_formula_sum 'Te4 As4'
_space_group_name_H-M_alt 'F m -3 m'
_space_group_IT_number 225
_space_group_name_Hall '-F 4 2 3'
_cell_length_a 5.9353
_cell_length_b 5.9353
_cell_length_c 5.9353
_cell_angle_alpha 90.00
_cell_angle_beta 90.00
_cell_angle_gamma 90.00
loop_
_atom_site_label
_atom_site_type_symbol
_atom_site_fract_x
_atom_site_fract_y
_atom_site_fract_z
Te1 Te 0.0000 0.0000 0.0000
As1 As 0.0000 0.0000 0.5000
```

***

Question: Which formula does entry 5 have?
Answer: Pr3TaCl3O6